(1)
Calculated X-ray diffraction stick pattern
Compound: Na2MgBi2O6
Radiation: copper Kα
Structure: a DFT-relaxed cell (GGA-PBE, the Materials Project)
Kinematic intensities with the Lorentz-polarization factor, no thermal factor.

Atomic structure:
Unit cell a=5.7066 b=5.7066 c=17.2344 alpha=90.00 beta=90.00 gamma=120.00
Space group R-3 (No. 148, hexagonal axes)
Asymmetric unit:
1 Na 0.0000 0.0000 0.1681 x6
2 Mg 0.0000 0.0000 0.0000 x3
3 Bi 0.0000 0.0000 0.3523 x6
4 O 0.0003 0.3696 0.4000 x18

The 10 most intense peaks (5 to 70 degrees two-theta), in order of rising 2θ:
2θ/deg, I_rel, hkl
15.42, 100, 0 0 3
18.68, 42, 1 0 1
27.46, 55, 1 0 4
31.35, 69, 1 1 0
35.12, 68, 2 -1 3
40.95, 23, 1 0 7
42.16, 22, 0 2 4
44.77, 49, 2 -1 6
53.47, 20, 2 1 4
55.81, 22, 3 0 0

(2)
Calculated X-ray diffraction stick pattern
Compound: Na6MgBi2O8
Radiation: copper Kα
Structure: a DFT-relaxed cell (GGA-PBE, the Materials Project)
Kinematic intensities with the Lorentz-polarization factor, no thermal factor.

Atomic structure:
Unit cell a=6.061 b=6.248 c=6.948 alpha=91.89 beta=91.76 gamma=112.20
Space group P1 (No. 1)
Asymmetric unit:
1 Na 0.000 0.000 0.000 x1
2 Na 0.010 0.896 0.616 x1
3 Na 0.452 0.488 0.046 x1
4 Na 0.510 0.986 0.803 x1
5 Na 0.932 0.614 0.235 x1
6 Na 0.968 0.454 0.828 x1
7 Mg 0.949 0.192 0.359 x1
8 Bi 0.464 0.980 0.287 x1
9 Bi 0.489 0.484 0.581 x1
10 O 0.224 0.258 0.760 x1
11 O 0.254 0.738 0.488 x1
12 O 0.260 0.203 0.282 x1
13 O 0.263 0.778 0.047 x1
14 O 0.698 0.229 0.533 x1
15 O 0.729 0.684 0.817 x1
16 O 0.746 0.846 0.327 x1
17 O 0.753 0.228 0.122 x1

The 10 most intense peaks (5 to 70 degrees two-theta), in order of rising 2θ:
2θ/deg, I_rel, hkl
12.76, 70, 0 0 1
15.81, 100, 1 0 0
19.52, 54, 0 1 -1
20.47, 42, 0 1 1
21.61, 82, 1 -1 1
28.90, 39, 1 -2 0
31.17, 54, -1 1 2
35.15, 43, 2 -2 0
35.77, 42, 1 1 -2
37.95, 41, 1 1 2

(3)
Calculated X-ray diffraction stick pattern
Compound: Na4MgBi2O6
Radiation: copper Kα
Structure: a DFT-relaxed cell (GGA-PBE, the Materials Project)
Kinematic intensities with the Lorentz-polarization factor, no thermal factor.

Atomic structure:
Unit cell a=6.012 b=6.349 c=6.377 alpha=60.59 beta=72.45 gamma=80.62
Space group P1 (No. 1)
Asymmetric unit:
1 Na 0.000 0.000 0.000 x1
2 Na 0.029 0.510 0.541 x1
3 Na 0.071 0.403 0.092 x1
4 Na 0.515 0.299 0.721 x1
5 Mg 0.041 0.941 0.575 x1
6 Bi 0.505 0.959 0.407 x1
7 Bi 0.560 0.621 0.056 x1
8 O 0.219 0.004 0.228 x1
9 O 0.243 0.175 0.557 x1
10 O 0.275 0.665 0.704 x1
11 O 0.713 0.937 0.723 x1
12 O 0.759 0.364 0.951 x1
13 O 0.783 0.625 0.261 x1

The 10 most intense peaks (5 to 70 degrees two-theta), in order of rising 2θ:
2θ/deg, I_rel, hkl
15.46, 100, 1 0 0
16.76, 39, 0 1 1
19.53, 43, 1 0 1
28.08, 41, 0 1 -1
28.54, 38, 0 2 1
28.79, 38, 1 1 2
30.14, 57, 1 -1 1
34.16, 38, 1 1 -1
34.96, 44, -1 2 1
36.00, 36, 2 1 2